1.
Diffraction record for NaPm2PaN4. The X-ray diffraction stick pattern is theoretical, not measured: it uses DFT lattice parameters and positions (PBE) and Cu Ka.
Intensities are scaled so that the largest is 100.

Crystal structure
Unit cell a=6.0927 b=3.6285 c=6.1115 alpha=90.00 beta=107.80 gamma=90.00
Fractional coordinates of all 8 atoms:
Na (0.0000, 0.0000, 0.0000)
Pm (0.0000, 0.5000, 0.5000)
Pm (0.5000, 0.0000, 0.5000)
Pa (0.5000, 0.5000, 0.0000)
N (0.2581, 0.0000, 0.7496)
N (0.3028, 0.5000, 0.2407)
N (0.6972, 0.5000, 0.7593)
N (0.7419, 0.0000, 0.2504)

Main lines, by angle (2θ = 15–90°):
d = 5.802 Å, 2θ = 15.3°, rel. 49; d = 2.922 Å, 2θ = 30.6°, rel. 97; d = 2.905 Å, 2θ = 30.8°, rel. 96; d = 2.554 Å, 2θ = 35.1°, rel. 100; d = 2.465 Å, 2θ = 36.4°, rel. 44; d = 1.776 Å, 2θ = 51.5°, rel. 33; d = 1.772 Å, 2θ = 51.6°, rel. 32; d = 1.539 Å, 2θ = 60.1°, rel. 31



2.
Diffraction record for Na4PrPa3N8. The X-ray diffraction stick pattern is theoretical, not measured: it uses DFT lattice parameters and positions (PBE) and Cu Ka.
Intensities are scaled so that the largest is 100.

Crystal structure
Unit cell a=7.0785 b=7.0785 c=7.0579 alpha=118.63 beta=118.63 gamma=60.79
Fractional coordinates of all 16 atoms:
Na (0.0000, 0.0000, 0.0000)
Na (0.0000, 0.5000, 0.5000)
Na (0.5000, 0.0000, 0.5000)
Na (0.5000, 0.5000, 0.0000)
Pr (0.0000, 0.0000, 0.5000)
Pa (0.0000, 0.5000, 0.0000)
Pa (0.5000, 0.0000, 0.0000)
Pa (0.5000, 0.5000, 0.5000)
N (0.2407, 0.2407, 0.7938)
N (0.2439, 0.7058, 0.2623)
N (0.2660, 0.2660, 0.2260)
N (0.2942, 0.7561, 0.7377)
N (0.7058, 0.2439, 0.2623)
N (0.7340, 0.7340, 0.7740)
N (0.7561, 0.2942, 0.7377)
N (0.7593, 0.7593, 0.2062)

Main lines, by angle (2θ = 15–90°):
d = 5.722 Å, 2θ = 15.5°, rel. 100; d = 3.084 Å, 2θ = 28.9°, rel. 20; d = 3.057 Å, 2θ = 29.2°, rel. 38; d = 2.929 Å, 2θ = 30.5°, rel. 67; d = 2.861 Å, 2θ = 31.3°, rel. 23; d = 2.538 Å, 2θ = 35.4°, rel. 24; d = 2.513 Å, 2θ = 35.7°, rel. 46; d = 2.307 Å, 2θ = 39.0°, rel. 23



3.
Diffraction record for NaPa2RhN4. The X-ray diffraction stick pattern is theoretical, not measured: it uses DFT lattice parameters and positions (PBE) and Cu Ka.
Intensities are scaled so that the largest is 100.

Crystal structure
Unit cell a=5.1609 b=5.1609 c=5.1609 alpha=111.74 beta=111.74 gamma=105.02
Fractional coordinates of all 8 atoms:
Na (0.0000, 0.0000, 0.0000)
Pa (0.2500, 0.7500, 0.5000)
Pa (0.7500, 0.2500, 0.5000)
Rh (0.5000, 0.5000, 0.0000)
N (0.2011, 0.6821, 0.0000)
N (0.3179, 0.3179, 0.5190)
N (0.6821, 0.2011, 0.0000)
N (0.7989, 0.7989, 0.4810)

Main lines, by angle (2θ = 15–90°):
d = 4.095 Å, 2θ = 21.7°, rel. 52; d = 2.896 Å, 2θ = 30.9°, rel. 61; d = 2.492 Å, 2θ = 36.0°, rel. 100; d = 2.129 Å, 2θ = 42.5°, rel. 24; d = 2.048 Å, 2θ = 44.2°, rel. 33; d = 1.831 Å, 2θ = 49.8°, rel. 13; d = 1.582 Å, 2θ = 58.3°, rel. 50; d = 1.380 Å, 2θ = 67.9°, rel. 16



4.
Diffraction record for NaPa4SnN8. The X-ray diffraction stick pattern is theoretical, not measured: it uses DFT lattice parameters and positions (PBE) and Cu Ka.
Intensities are scaled so that the largest is 100.

Crystal structure
Unit cell a=6.5042 b=6.5042 c=6.5042 alpha=66.79 beta=66.79 gamma=66.79
Fractional coordinates of all 14 atoms:
Na (0.0000, 0.0000, 0.0000)
Pa (0.4987, 0.9941, 0.9941)
Pa (0.5883, 0.5883, 0.5883)
Pa (0.9941, 0.4987, 0.9941)
Pa (0.9941, 0.9941, 0.4987)
Sn (0.3794, 0.3794, 0.3794)
N (0.2174, 0.7486, 0.7486)
N (0.2393, 0.2393, 0.2393)
N (0.2677, 0.2677, 0.7724)
N (0.2677, 0.7724, 0.2677)
N (0.7486, 0.2174, 0.7486)
N (0.7486, 0.7486, 0.2174)
N (0.7486, 0.7486, 0.7486)
N (0.7724, 0.2677, 0.2677)

Main lines, by angle (2θ = 15–90°):
d = 5.022 Å, 2θ = 17.7°, rel. 45; d = 3.219 Å, 2θ = 27.7°, rel. 33; d = 3.037 Å, 2θ = 29.4°, rel. 100; d = 2.915 Å, 2θ = 30.7°, rel. 31; d = 2.867 Å, 2θ = 31.2°, rel. 49; d = 2.710 Å, 2θ = 33.1°, rel. 29; d = 1.850 Å, 2θ = 49.3°, rel. 20; d = 1.790 Å, 2θ = 51.0°, rel. 34